No. 1
For PmY2Er12, a crystal structure in Alexandria, relaxed with GGA-PBE gives the calculated powder diffraction line list in this record (Cu Kα X-rays).
Intensities are scaled so that the largest is 100.

Cell and atoms:
```
data_PmY2Er12
_chemical_formula_sum 'Pm1 Y2 Er12'
_space_group_name_H-M_alt 'P 1 2/m 1'
_space_group_IT_number 10
_space_group_name_Hall '-P 2y'
_cell_length_a 3.5957
_cell_length_b 5.6338
_cell_length_c 23.3419
_cell_angle_alpha 90.00
_cell_angle_beta 94.40
_cell_angle_gamma 90.00
loop_
_atom_site_label
_atom_site_type_symbol
_atom_site_fract_x
_atom_site_fract_y
_atom_site_fract_z
Pm1 Pm 0.0000 0.0000 0.0000
Y1 Y 0.1458 0.0000 0.2859
Er1 Er 0.0992 0.5000 0.1940
Er2 Er 0.2223 0.5000 0.4430
Er3 Er 0.2859 0.0000 0.5741
Er4 Er 0.3362 0.5000 0.6769
Er5 Er 0.4210 0.0000 0.8514
Er6 Er 0.4681 0.5000 0.9320
```

Most intense lines, 10° ≤ 2θ ≤ 90°, low angle first:
| d_spacing | I_rel |
| --- | --- |
| 2.952 | 20 |
| 2.909 | 17 |
| 2.863 | 31 |
| 2.817 | 49 |
| 2.758 | 100 |
| 2.615 | 31 |
| 2.585 | 21 |
| 1.615 | 20 |

***

No. 2
For Na4Pu3NpSe8, a crystal structure in Alexandria, relaxed with GGA-PBE gives the calculated powder diffraction line list in this record (Cu Kα X-rays).
Intensities are scaled so that the largest is 100.

Cell and atoms:
```
data_Na4Pu3NpSe8
_chemical_formula_sum 'Na8 Pu6 Np2 Se16'
_space_group_name_H-M_alt 'C 1 2/m 1'
_space_group_IT_number 12
_space_group_name_Hall '-C 2y'
_cell_length_a 14.5784
_cell_length_b 8.4160
_cell_length_c 8.4633
_cell_angle_alpha 90.00
_cell_angle_beta 125.10
_cell_angle_gamma 90.00
loop_
_atom_site_label
_atom_site_type_symbol
_atom_site_fract_x
_atom_site_fract_y
_atom_site_fract_z
Na1 Na 0.0000 0.0000 0.0000
Na2 Na 0.0000 0.5000 0.0000
Na3 Na 0.2500 0.2500 0.0000
Pu1 Pu 0.0000 0.0000 0.5000
Pu2 Pu 0.2500 0.2500 0.5000
Np1 Np 0.0000 0.5000 0.5000
Se1 Se 0.0058 0.2523 0.2702
Se2 Se 0.2419 0.5000 0.7298
Se3 Se 0.2435 0.0000 0.7301
```

Most intense lines, 10° ≤ 2θ ≤ 90°, low angle first:
| d_spacing | I_rel |
| --- | --- |
| 6.925 | 71 |
| 3.590 | 37 |
| 2.983 | 100 |
| 2.301 | 19 |
| 2.115 | 37 |
| 2.104 | 38 |
| 2.013 | 20 |
| 1.719 | 20 |

***

No. 3
For CsBr, a crystal structure in Alexandria, relaxed with GGA-PBE gives the calculated powder diffraction line list in this record (Cu Kα X-rays).
Intensities are scaled so that the largest is 100.

Cell and atoms:
```
data_CsBr
_chemical_formula_sum 'Cs8 Br8'
_space_group_name_H-M_alt 'I 4/m c m'
_space_group_IT_number 140
_space_group_name_Hall '-I 4 2c'
_cell_length_a 12.2978
_cell_length_b 12.2978
_cell_length_c 7.2771
_cell_angle_alpha 90.00
_cell_angle_beta 90.00
_cell_angle_gamma 90.00
loop_
_atom_site_label
_atom_site_type_symbol
_atom_site_fract_x
_atom_site_fract_y
_atom_site_fract_z
Cs1 Cs 0.1470 0.3530 0.0000
Br1 Br 0.1470 0.3530 0.5000
```

Most intense lines, 10° ≤ 2θ ≤ 90°, low angle first:
| d_spacing | I_rel |
| --- | --- |
| 8.696 | 100 |
| 3.889 | 77 |
| 3.639 | 51 |
| 3.074 | 48 |
| 2.899 | 43 |
| 2.657 | 56 |
| 2.348 | 45 |
| 2.267 | 42 |

***

No. 4
For LiTl2Sn4, a crystal structure in Alexandria, relaxed with GGA-PBE gives the calculated powder diffraction line list in this record (Cu Kα X-rays).
Intensities are scaled so that the largest is 100.

Cell and atoms:
```
data_LiTl2Sn4
_chemical_formula_sum 'Li2 Tl4 Sn8'
_space_group_name_H-M_alt 'C 1 2/m 1'
_space_group_IT_number 12
_space_group_name_Hall '-C 2y'
_cell_length_a 21.6202
_cell_length_b 3.5074
_cell_length_c 5.1920
_cell_angle_alpha 90.00
_cell_angle_beta 103.11
_cell_angle_gamma 90.00
loop_
_atom_site_label
_atom_site_type_symbol
_atom_site_fract_x
_atom_site_fract_y
_atom_site_fract_z
Li1 Li 0.0000 0.0000 0.0000
Tl1 Tl 0.2201 0.5000 0.7197
Sn1 Sn 0.0735 0.0000 0.5727
Sn2 Sn 0.1190 0.5000 0.1194
```

Most intense lines, 10° ≤ 2θ ≤ 90°, low angle first:
| d_spacing | I_rel |
| --- | --- |
| 3.138 | 71 |
| 2.807 | 88 |
| 2.796 | 87 |
| 2.618 | 74 |
| 2.596 | 100 |
| 2.587 | 71 |
| 2.553 | 87 |
| 2.536 | 87 |

***

No. 5
For Re5Br, a crystal structure in Alexandria, relaxed with GGA-PBE gives the calculated powder diffraction line list in this record (Cu Kα X-rays).
Intensities are scaled so that the largest is 100.

Cell and atoms:
```
data_Re5Br
_chemical_formula_sum 'Re10 Br2'
_space_group_name_H-M_alt 'A m m 2'
_space_group_IT_number 38
_space_group_name_Hall 'A 2 -2'
_cell_length_a 4.4628
_cell_length_b 2.8788
_cell_length_c 14.7028
_cell_angle_alpha 90.00
_cell_angle_beta 90.00
_cell_angle_gamma 90.00
loop_
_atom_site_label
_atom_site_type_symbol
_atom_site_fract_x
_atom_site_fract_y
_atom_site_fract_z
Re1 Re 0.0000 0.0000 0.0000
Re2 Re 0.0000 0.0000 0.3192
Re3 Re 0.0000 0.0000 0.6562
Re4 Re 0.5000 0.0000 0.1077
Re5 Re 0.5000 0.0000 0.7594
Br1 Br 0.5000 0.0000 0.4296
```

Most intense lines, 10° ≤ 2θ ≤ 90°, low angle first:
| d_spacing | I_rel |
| --- | --- |
| 7.351 | 17 |
| 2.482 | 29 |
| 2.231 | 38 |
| 2.169 | 100 |
| 2.148 | 52 |
| 1.659 | 17 |
| 1.276 | 18 |
| 1.198 | 18 |

***

No. 6
For KSb4F13, a crystal structure in Alexandria, relaxed with GGA-PBE gives the calculated powder diffraction line list in this record (Cu Kα X-rays).
Intensities are scaled so that the largest is 100.

Cell and atoms:
```
data_KSb4F13
_chemical_formula_sum 'K2 Sb8 F26'
_space_group_name_H-M_alt 'I 4/m'
_space_group_IT_number 87
_space_group_name_Hall '-I 4'
_cell_length_a 10.2785
_cell_length_b 10.2785
_cell_length_c 5.8503
_cell_angle_alpha 90.00
_cell_angle_beta 90.00
_cell_angle_gamma 90.00
loop_
_atom_site_label
_atom_site_type_symbol
_atom_site_fract_x
_atom_site_fract_y
_atom_site_fract_z
K1 K 0.0000 0.0000 0.0000
Sb1 Sb 0.0006 0.2678 0.5000
F1 F 0.0000 0.0000 0.5000
F2 F 0.0765 0.3863 0.0000
F3 F 0.1120 0.7995 0.2566
```

Most intense lines, 10° ≤ 2θ ≤ 90°, low angle first:
| d_spacing | I_rel |
| --- | --- |
| 5.084 | 55 |
| 3.634 | 60 |
| 3.614 | 100 |
| 2.956 | 28 |
| 2.566 | 44 |
| 2.279 | 28 |
| 1.931 | 30 |
| 1.815 | 39 |